1.
# Hf8PRh2
Calculated XRD peak list, copper Kα. Input: a cell relaxed with PBE.

Structural model:
Lattice parameters (Å, degrees): 16.7828 4.6802 5.9095 90.00 108.27 90.00
Space group C2/m (No. 12)
One atom of each set of equivalent atoms:
Hf1 0.0190 0.0000 0.2693 [4 per cell]
Hf2 0.0925 0.5000 0.9669 [4 per cell]
Hf3 0.1695 0.5000 0.5179 [4 per cell]
Hf4 0.2101 0.0000 0.8577 [4 per cell]
P1 0.0000 0.5000 0.5000 [2 per cell]
Rh1 0.1678 0.0000 0.2505 [4 per cell]

Peak list (10 most intense, 5° ≤ 2θ ≤ 70°, sorted by position)
| index | 2θ/deg | Rel. int. |
| --- | --- | --- |
| 6 0 -1 | 32.5 | 25 |
| 3 1 1 | 32.8 | 68 |
| 5 1 -1 | 33.6 | 33 |
| 5 1 0 | 34.0 | 53 |
| 1 1 -2 | 36.2 | 100 |
| 3 1 -2 | 36.6 | 28 |
| 0 2 0 | 38.5 | 72 |
| 1 1 2 | 39.3 | 18 |
| 5 1 1 | 41.5 | 29 |
| 2 2 3 | 68.0 | 17 |

***

2.
# Li5LaAg7
Calculated XRD peak list, copper Kα. Input: a cell relaxed with PBE.

Structural model:
Lattice parameters (Å, degrees): 5.3294 9.4735 9.4038 90.00 90.00 90.00
Space group Imm2 (No. 44)
One atom of each set of equivalent atoms:
Li1 0.0000 0.0000 0.0000 [2 per cell]
Li2 0.2475 0.2475 0.5175 [8 per cell]
La1 0.0000 0.5000 0.2587 [2 per cell]
Ag1 0.0000 0.0000 0.5480 [2 per cell]
Ag2 0.0000 0.1501 0.2667 [4 per cell]
Ag3 0.0000 0.2186 0.7701 [4 per cell]
Ag4 0.0000 0.5000 0.6092 [2 per cell]
Ag5 0.0000 0.5000 0.9124 [2 per cell]

Peak list (10 most intense, 5° ≤ 2θ ≤ 70°, sorted by position)
| index | 2θ/deg | Rel. int. |
| --- | --- | --- |
| 0 0 2 | 18.9 | 34 |
| 0 2 2 | 26.7 | 19 |
| 1 3 0 | 33.0 | 40 |
| 1 0 3 | 33.2 | 22 |
| 2 0 0 | 33.6 | 46 |
| 1 2 3 | 38.3 | 100 |
| 2 0 2 | 38.8 | 17 |
| 1 4 1 | 42.9 | 19 |
| 3 2 3 | 63.3 | 19 |
| 1 3 6 | 69.2 | 17 |

***

3.
# Ba2LiW
Calculated XRD peak list, copper Kα. Input: a cell relaxed with PBE.

Structural model:
Lattice parameters (Å, degrees): 3.3604 3.3499 11.1472 90.00 90.22 90.00
Space group P2/m (No. 10)
One atom of each set of equivalent atoms:
Ba1 0.0025 0.0000 0.2200 [2 per cell]
Li1 0.5000 0.5000 0.5000 [1 per cell]
W1 0.5000 0.5000 0.0000 [1 per cell]

Peak list (10 most intense, 5° ≤ 2θ ≤ 70°, sorted by position)
| index | 2θ/deg | Rel. int. |
| --- | --- | --- |
| 0 0 1 | 7.9 | 100 |
| 1 0 -2 | 31.0 | 17 |
| 1 0 2 | 31.1 | 50 |
| 0 0 4 | 32.1 | 12 |
| 0 1 3 | 36.1 | 18 |
| 1 1 0 | 37.9 | 21 |
| 1 1 -1 | 38.8 | 10 |
| 1 1 5 | 56.7 | 9 |
| 2 1 2 | 64.3 | 13 |
| 0 1 7 | 64.9 | 8 |

***

4.
# Ba4LiBi3O11
Calculated XRD peak list, copper Kα. Input: a cell relaxed with PBE.

Structural model:
Lattice parameters (Å, degrees): 8.7683 8.8177 8.8559 90.00 90.00 90.00
Space group Amm2 (No. 38)
One atom of each set of equivalent atoms:
Ba1 0.2390 0.2377 0.0000 [8 per cell]
Li1 0.5000 0.0000 0.1823 [2 per cell]
Bi1 0.0000 0.0000 0.2426 [2 per cell]
Bi2 0.0000 0.0000 0.7356 [2 per cell]
Bi3 0.5000 0.0000 0.7351 [2 per cell]
O1 0.0000 0.0000 0.4829 [2 per cell]
O2 0.0000 0.0000 0.9942 [2 per cell]
O3 0.0000 0.2441 0.2302 [4 per cell]
O4 0.2465 0.0000 0.2356 [4 per cell]
O5 0.2566 0.0000 0.7214 [4 per cell]
O6 0.5000 0.0000 0.9668 [2 per cell]
O7 0.5000 0.2194 0.6457 [4 per cell]

Peak list (10 most intense, 5° ≤ 2θ ≤ 70°, sorted by position)
| index | 2θ/deg | Rel. int. |
| --- | --- | --- |
| 1 0 0 | 10.1 | 14 |
| 1 1 1 | 17.4 | 13 |
| 0 2 2 | 28.6 | 100 |
| 2 2 0 | 28.7 | 46 |
| 0 0 4 | 40.8 | 13 |
| 0 4 0 | 40.9 | 14 |
| 4 0 0 | 41.2 | 14 |
| 2 2 4 | 50.6 | 21 |
| 2 4 2 | 50.7 | 19 |
| 4 2 2 | 50.9 | 21 |